# 1
For MgVAgO4, a cell relaxed with PBE+U gives the simulated powder diffraction line list in this record (copper Kα).
Kinematic intensities with the Lorentz-polarization factor, no thermal factor.

Lattice parameters (Å, degrees): 9.586 6.796 5.389 90.00 90.00 90.00
Space group Pnma (No. 62)
One atom of each set of equivalent atoms:
Mg (0.000, 0.000, 0.000) (multiplicity 4)
V (0.179, 0.250, 0.476) (multiplicity 4)
Ag (0.152, 0.750, 0.501) (multiplicity 4)
O (0.114, 0.050, 0.315) (multiplicity 8)
O (0.115, 0.250, 0.786) (multiplicity 4)
O (0.134, 0.750, 0.939) (multiplicity 4)

Top 10 peaks for 5 to 70 degrees two-theta, sorted by position:
- 2θ 18.89, 4.697 Å, I = 27
- 2θ 26.22, 3.398 Å, I = 39
- 2θ 32.29, 2.772 Å, I = 21
- 2θ 32.56, 2.750 Å, I = 100
- 2θ 33.25, 2.694 Å, I = 26
- 2θ 40.64, 2.220 Å, I = 23
- 2θ 42.29, 2.137 Å, I = 25
- 2θ 42.83, 2.111 Å, I = 21
- 2θ 58.97, 1.566 Å, I = 21
- 2θ 64.47, 1.445 Å, I = 20

=====

# 2
For MgVAgO4, a cell relaxed with PBE+U gives the simulated powder diffraction line list in this record (copper Kα).
Kinematic intensities with the Lorentz-polarization factor, no thermal factor.

Lattice parameters (Å, degrees): 5.214 5.214 8.355 90.00 90.00 90.00
Space group I-4 (No. 82)
One atom of each set of equivalent atoms:
Mg (0.000, 0.000, 0.000) (multiplicity 2)
V (0.000, 0.500, 0.250) (multiplicity 2)
Ag (0.000, 0.000, 0.500) (multiplicity 2)
O (0.156, 0.276, 0.129) (multiplicity 8)

Top 10 peaks for 5 to 70 degrees two-theta, sorted by position:
- 2θ 20.07, 4.424 Å, I = 93
- 2θ 24.14, 3.687 Å, I = 18
- 2θ 32.39, 2.764 Å, I = 100
- 2θ 34.40, 2.607 Å, I = 23
- 2θ 36.58, 2.457 Å, I = 19
- 2θ 40.15, 2.246 Å, I = 33
- 2θ 49.44, 1.844 Å, I = 16
- 2θ 51.08, 1.788 Å, I = 14
- 2θ 56.45, 1.630 Å, I = 25
- 2θ 60.35, 1.534 Å, I = 28